No. 1
Starting from a structure optimized by DFT (GGA-PBE), the XRD peak list of NaLuPb was computed for λ = 1.5418 Å (Cu Kα).
No peak broadening, texture or thermal motion is included.

Top 10 peaks for 15 to 90 degrees two-theta, by angle:
hkl, d/Å, Rel. int.
1 0 1, 3.346, 21
1 0 3, 2.837, 100
0 0 6, 2.523, 16
1 1 0, 2.426, 34
1 1 2, 2.310, 15
1 0 5, 2.270, 23
1 1 6, 1.749, 22
2 0 0, 1.716, 12
1 0 9, 1.510, 12
2 1 3, 1.468, 28

Atomic structure:
a = 3.4310 Å, b = 3.4310 Å, c = 15.1374 Å
α = 90.00°, β = 90.00°, γ = 90.00°
Space group I4mm (No. 107)
One atom of each set of equivalent atoms:
1 Na 0.0000 0.0000 0.0000 (multiplicity 2)
2 Lu 0.0000 0.0000 0.6927 (multiplicity 2)
3 Pb 0.0000 0.0000 0.3410 (multiplicity 2)

***

No. 2
Starting from a structure optimized by DFT (GGA-PBE), the XRD peak list of NaLuPt2 was computed for λ = 1.5418 Å (Cu Kα).
No peak broadening, texture or thermal motion is included.

Top 10 peaks for 15 to 90 degrees two-theta, by angle:
hkl, d/Å, Rel. int.
1 0 0, 4.396, 15
1 0 1, 2.879, 11
1 1 1, 2.408, 100
2 0 0, 2.198, 38
0 0 2, 1.905, 18
2 2 0, 1.554, 13
2 0 2, 1.439, 22
3 1 1, 1.306, 29
2 2 2, 1.204, 11
1 1 3, 1.176, 11

Atomic structure:
a = 4.3956 Å, b = 4.3956 Å, c = 3.8098 Å
α = 90.00°, β = 90.00°, γ = 90.00°
Space group P4/mmm (No. 123)
One atom of each set of equivalent atoms:
1 Na 0.0000 0.0000 0.0000 (multiplicity 1)
2 Lu 0.5000 0.5000 0.0000 (multiplicity 1)
3 Pt 0.0000 0.5000 0.5000 (multiplicity 2)

***

No. 3
Starting from a structure optimized by DFT (GGA-PBE), the XRD peak list of NaLuSn4 was computed for λ = 1.5418 Å (Cu Kα).
No peak broadening, texture or thermal motion is included.

Top 10 peaks for 15 to 90 degrees two-theta, by angle:
hkl, d/Å, Rel. int.
1 1 1, 5.050, 23
2 0 0, 4.374, 12
2 2 0, 3.093, 19
3 1 1, 2.638, 100
2 2 2, 2.525, 49
3 3 3, 1.683, 35
4 4 0, 1.546, 30
5 3 3, 1.334, 12
6 2 2, 1.319, 20
7 3 1, 1.139, 24

Atomic structure:
a = 8.7477 Å, b = 8.7477 Å, c = 8.7477 Å
α = 90.00°, β = 90.00°, γ = 90.00°
Space group F-43m (No. 216)
One atom of each set of equivalent atoms:
1 Na 0.0000 0.0000 0.0000 (multiplicity 4)
2 Lu 0.2500 0.2500 0.7500 (multiplicity 4)
3 Sn 0.1246 0.1246 0.3754 (multiplicity 16)

***

No. 4
Starting from a structure optimized by DFT (GGA-PBE), the XRD peak list of NaLuZn4 was computed for λ = 1.5418 Å (Cu Kα).
No peak broadening, texture or thermal motion is included.

Top 10 peaks for 15 to 90 degrees two-theta, by angle:
hkl, d/Å, Rel. int.
1 1 1, 4.404, 22
2 0 0, 3.814, 23
2 2 0, 2.697, 34
3 1 1, 2.300, 100
2 2 2, 2.202, 33
4 2 2, 1.557, 13
5 1 1, 1.468, 31
4 4 0, 1.349, 22
5 3 3, 1.163, 11
6 2 2, 1.150, 12

Atomic structure:
a = 7.6287 Å, b = 7.6287 Å, c = 7.6287 Å
α = 90.00°, β = 90.00°, γ = 90.00°
Space group F-43m (No. 216)
One atom of each set of equivalent atoms:
1 Na 0.0000 0.0000 0.0000 (multiplicity 4)
2 Lu 0.2500 0.2500 0.7500 (multiplicity 4)
3 Zn 0.1250 0.1250 0.3750 (multiplicity 16)

***

No. 5
Starting from a structure optimized by DFT (GGA-PBE), the XRD peak list of LuNbO4 was computed for λ = 1.5418 Å (Cu Kα).
No peak broadening, texture or thermal motion is included.

Top 10 peaks for 15 to 90 degrees two-theta, by angle:
hkl, d/Å, Rel. int.
1 1 -1, 3.123, 100
1 1 1, 2.931, 84
0 2 0, 2.701, 21
0 0 2, 2.628, 22
2 0 0, 2.532, 16
2 0 -2, 1.913, 17
0 2 2, 1.883, 27
2 2 0, 1.847, 27
1 1 -3, 1.626, 16
3 1 -1, 1.580, 13

Atomic structure:
a = 5.0858 Å, b = 5.4010 Å, c = 5.2787 Å
α = 90.00°, β = 95.27°, γ = 90.00°
Space group P2/c (No. 13)
One atom of each set of equivalent atoms:
1 Lu 0.0000 0.2410 0.2500 (multiplicity 2)
2 Nb 0.5000 0.2905 0.7500 (multiplicity 2)
3 O 0.2475 0.0725 0.5873 (multiplicity 4)
4 O 0.2581 0.4410 0.9812 (multiplicity 4)

***

No. 6
Starting from a structure optimized by DFT (GGA-PBE), the XRD peak list of Lu2Nb2O7 was computed for λ = 1.5418 Å (Cu Kα).
No peak broadening, texture or thermal motion is included.

Top 10 peaks for 15 to 90 degrees two-theta, by angle:
hkl, d/Å, Rel. int.
3 1 1, 3.085, 4
2 2 2, 2.953, 100
4 0 0, 2.558, 32
3 3 1, 2.347, 6
4 4 0, 1.809, 49
6 2 2, 1.542, 43
4 4 4, 1.477, 9
8 0 0, 1.279, 7
6 6 2, 1.174, 17
8 4 0, 1.144, 13

Atomic structure:
a = 10.2312 Å, b = 10.2312 Å, c = 10.2312 Å
α = 90.00°, β = 90.00°, γ = 90.00°
Space group Fd-3m (No. 227, origin choice 2)
One atom of each set of equivalent atoms:
1 Lu 0.0000 0.0000 0.0000 (multiplicity 16)
2 Nb 0.0000 0.0000 0.5000 (multiplicity 16)
3 O 0.0997 0.3750 0.8750 (multiplicity 48)
4 O 0.1250 0.1250 0.1250 (multiplicity 8)

***

What is the formula in the fifth record? LuNbO4